Theoretical powder X-ray diffraction pattern
Compound: Li2V6O15
Radiation: Cu Ka
Structure: a GGA+U-relaxed structure

Structure:
Unit cell a=8.0027 b=8.0027 c=10.2700 alpha=106.77 beta=106.77 gamma=26.69
Element x y z (fractional)
Li  0.0472  0.0472  0.3358
Li  0.9528  0.9528  0.6642
V  0.1684  0.1684  0.9071
V  0.2150  0.2150  0.5938
V  0.3865  0.3865  0.8848
V  0.6135  0.6135  0.1152
V  0.7850  0.7850  0.4062
V  0.8316  0.8316  0.0929
O  0.0707  0.0707  0.7872
O  0.1051  0.1051  0.5331
O  0.1314  0.1314  0.0801
O  0.2427  0.2427  0.7751
O  0.2549  0.2549  0.4257
O  0.3102  0.3102  0.0419
O  0.4039  0.4039  0.7311
O  0.5000  0.5000  0.0000
O  0.5961  0.5961  0.2689
O  0.6898  0.6898  0.9581
O  0.7451  0.7451  0.5743
O  0.7573  0.7573  0.2249
O  0.8686  0.8686  0.9199
O  0.8949  0.8949  0.4669
O  0.9293  0.9293  0.2128

Peak list (12 most intense, 10 to 90 degrees two-theta, low angle first)
Position (°2θ)  I (rel.)
11.90  100
18.09  17
24.53  14
25.84  74
27.09  15
28.08  43
30.59  34
32.43  25
40.08  19
45.43  14
49.35  27
59.38  17

=====

Theoretical powder X-ray diffraction pattern
Compound: Li2V3O8
Radiation: Cu Ka
Structure: a GGA+U-relaxed structure

Structure:
Unit cell a=8.2894 b=8.2894 c=8.2894 alpha=90.00 beta=90.00 gamma=90.00
Element x y z (fractional)
Li  0.0046  0.4954  0.5046
Li  0.2454  0.7454  0.7546
Li  0.2546  0.2546  0.2546
Li  0.4954  0.5046  0.0046
Li  0.5046  0.0046  0.4954
Li  0.7454  0.7546  0.2454
Li  0.7546  0.2454  0.7454
Li  0.9954  0.9954  0.9954
V  0.1168  0.6250  0.1332
V  0.1250  0.3668  0.8832
V  0.1332  0.1168  0.6250
V  0.3668  0.8832  0.1250
V  0.3750  0.6332  0.3832
V  0.3832  0.3750  0.6332
V  0.6168  0.8750  0.8668
V  0.6250  0.1332  0.1168
V  0.6332  0.3832  0.3750
V  0.8668  0.6168  0.8750
V  0.8750  0.8668  0.6168
V  0.8832  0.1250  0.3668
O  0.0963  0.1411  0.3936
O  0.1064  0.9037  0.6411
O  0.1089  0.1537  0.8564
O  0.1110  0.6110  0.8890
O  0.1390  0.3610  0.6390
O  0.1411  0.3936  0.0963
O  0.1436  0.6089  0.3463
O  0.1537  0.8564  0.1089
O  0.3463  0.1436  0.6089
O  0.3564  0.3911  0.8463
O  0.3589  0.6064  0.5963
O  0.3610  0.6390  0.1390
O  0.3890  0.3890  0.3890
O  0.3911  0.8463  0.3564
O  0.3936  0.0963  0.1411
O  0.4037  0.8589  0.8936
O  0.5963  0.3589  0.6064
O  0.6064  0.5963  0.3589
O  0.6089  0.3463  0.1436
O  0.6110  0.8890  0.1110
O  0.6390  0.1390  0.3610
O  0.6411  0.1064  0.9037
O  0.6436  0.8911  0.6537
O  0.6537  0.6436  0.8911
O  0.8463  0.3564  0.3911
O  0.8564  0.1089  0.1537
O  0.8589  0.8936  0.4037
O  0.8610  0.8610  0.8610
O  0.8890  0.1110  0.6110
O  0.8911  0.6537  0.6436
O  0.8936  0.4037  0.8589
O  0.9037  0.6411  0.1064

Peak list (12 most intense, 10 to 90 degrees two-theta, low angle first)
Position (°2θ)  I (rel.)
15.12  29
18.54  100
24.01  40
26.34  25
35.93  47
43.68  66
50.45  9
57.80  20
61.25  8
63.48  37
66.76  13
80.23  8

=====

Theoretical powder X-ray diffraction pattern
Compound: Li3V8O11
Radiation: Cu Ka
Structure: a GGA+U-relaxed structure

Structure:
Unit cell a=4.1444 b=5.0256 c=10.7576 alpha=77.64 beta=89.76 gamma=65.84
Element x y z (fractional)
Li  0.0000  0.0000  0.0000
Li  0.0856  0.8306  0.6308
Li  0.9123  0.1765  0.3655
V  0.1872  0.6382  0.2609
V  0.2789  0.4348  0.8928
V  0.3709  0.2560  0.5428
V  0.4571  0.0871  0.1835
V  0.5258  0.9569  0.8141
V  0.6274  0.7465  0.4562
V  0.7148  0.5549  0.0994
V  0.8256  0.3503  0.7370
O  0.0550  0.8969  0.8202
O  0.1457  0.7104  0.4489
O  0.2235  0.5424  0.0788
O  0.3056  0.3947  0.7097
O  0.4057  0.1903  0.3636
O  0.4990  0.0028  0.9982
O  0.5955  0.8138  0.6399
O  0.6910  0.6280  0.2821
O  0.7586  0.4775  0.9128
O  0.8531  0.2927  0.5480
O  0.9522  0.0975  0.1805

Peak list (12 most intense, 10 to 90 degrees two-theta, low angle first)
Position (°2θ)  I (rel.)
23.67  55
25.54  30
36.73  26
36.95  26
37.96  46
43.28  96
43.42  96
43.68  100
61.43  28
63.09  52
63.29  26
63.47  26